CsAlCu2: computed powder X-ray diffraction pattern (CuKα), based on a PBE-relaxed structure.
Kinematic intensities with the Lorentz-polarization factor, no thermal factor.

Cell: 9.0881 9.0881 9.0881 Å, 145.86 145.86 49.06°
Atoms (fractional coordinates):
Cs1 0.3750 0.6250 0.7500
Cs2 0.6250 0.3750 0.2500
Al1 0.1250 0.8750 0.2500
Al2 0.8750 0.1250 0.7500
Cu1 0.0000 0.0000 0.0000
Cu2 0.0000 0.0000 0.5000
Cu3 0.0000 0.5000 0.0000
Cu4 0.5000 0.0000 0.5000

Principal peaks in the range 10 to 80 degrees two-theta, sorted by position:
2θ (°), Rel. int.
23.2, 100
26.0, 94
31.8, 45
35.4, 32
38.1, 55
53.4, 43